1.
Calculated PXRD pattern of Mg14NbVO16 for CuKα, from DFT lattice parameters and positions (GGA+U).

Structural model:
a = 4.2917 Å, b = 8.6107 Å, c = 8.6556 Å
α = 90.00°, β = 90.00°, γ = 90.00°
Space group Pmmm (No. 47)
Unique sites:
Mg  0.0000  0.0000  0.0000 (multiplicity 1)
Mg  0.0000  0.0000  0.5000 (multiplicity 1)
Mg  0.0000  0.2472  0.2486 (multiplicity 4)
Mg  0.5000  0.0000  0.2494 (multiplicity 2)
Mg  0.5000  0.2454  0.5000 (multiplicity 2)
Mg  0.5000  0.2485  0.0000 (multiplicity 2)
Mg  0.5000  0.5000  0.2459 (multiplicity 2)
Nb  0.0000  0.5000  0.5000 (multiplicity 1)
V  0.0000  0.5000  0.0000 (multiplicity 1)
O  0.0000  0.0000  0.2487 (multiplicity 2)
O  0.0000  0.2371  0.5000 (multiplicity 2)
O  0.0000  0.2442  0.0000 (multiplicity 2)
O  0.0000  0.5000  0.2444 (multiplicity 2)
O  0.5000  0.0000  0.0000 (multiplicity 1)
O  0.5000  0.0000  0.5000 (multiplicity 1)
O  0.5000  0.2510  0.2501 (multiplicity 4)
O  0.5000  0.5000  0.0000 (multiplicity 1)
O  0.5000  0.5000  0.5000 (multiplicity 1)

Top 10 peaks for 5 to 70 degrees two-theta, in order of rising 2θ:
| h k l | 2theta | Rel. int. |
| --- | --- | --- |
| 0 1 0 | 10.26 | 48.5 |
| 0 2 0 | 20.66 | 20.4 |
| 0 3 0 | 31.15 | 23.0 |
| 1 2 2 | 36.11 | 61.7 |
| 0 0 4 | 41.74 | 100.0 |
| 0 4 0 | 41.97 | 97.8 |
| 2 0 0 | 42.11 | 97.4 |
| 0 4 4 | 60.68 | 56.5 |
| 2 0 4 | 60.79 | 56.5 |
| 2 4 0 | 60.96 | 55.7 |

2.
Calculated PXRD pattern of LiMnF4 for CuKα, from DFT lattice parameters and positions (GGA+U).

Structural model:
a = 10.1837 Å, b = 5.8983 Å, c = 4.6388 Å
α = 90.00°, β = 90.00°, γ = 90.00°
Space group Pnma (No. 62)
Unique sites:
Li  0.0000  0.0000  0.0000 (multiplicity 4)
Mn  0.2403  0.2500  0.4661 (multiplicity 4)
F  0.0897  0.2500  0.2440 (multiplicity 4)
F  0.1023  0.7500  0.1698 (multiplicity 4)
F  0.1704  0.0017  0.7321 (multiplicity 8)

Top 10 peaks for 5 to 70 degrees two-theta, in order of rising 2θ:
| h k l | 2theta | Rel. int. |
| --- | --- | --- |
| 2 0 0 | 17.42 | 61.7 |
| 1 1 1 | 25.96 | 100.0 |
| 0 2 0 | 30.31 | 11.8 |
| 3 1 1 | 36.15 | 23.2 |
| 2 2 1 | 40.36 | 49.2 |
| 1 3 1 | 51.26 | 14.0 |
| 5 1 1 | 51.39 | 9.9 |
| 4 0 2 | 53.40 | 37.3 |
| 0 4 0 | 63.04 | 8.4 |
| 6 2 0 | 63.21 | 13.9 |

3.
Calculated PXRD pattern of Co2BiBP2O10 for CuKα, from DFT lattice parameters and positions (GGA+U).

Structural model:
a = 5.1207 Å, b = 11.3902 Å, c = 6.5053 Å
α = 90.00°, β = 107.90°, γ = 90.00°
Space group P2_1/m (No. 11)
Unique sites:
Co  0.1469  0.1046  0.1616 (multiplicity 4)
Bi  0.2478  0.7500  0.5630 (multiplicity 2)
B  0.4357  0.7500  0.0146 (multiplicity 2)
P  0.2964  0.0640  0.7145 (multiplicity 4)
O  0.0932  0.0463  0.8467 (multiplicity 4)
O  0.1438  0.1244  0.4960 (multiplicity 4)
O  0.1459  0.7500  0.8636 (multiplicity 2)
O  0.3782  0.2500  0.1174 (multiplicity 2)
O  0.4319  0.5516  0.6794 (multiplicity 4)
O  0.4623  0.6447  0.1551 (multiplicity 4)

Top 10 peaks for 5 to 70 degrees two-theta, in order of rising 2θ:
| h k l | 2theta | Rel. int. |
| --- | --- | --- |
| 0 0 1 | 14.31 | 22.2 |
| 0 1 1 | 16.30 | 42.9 |
| 1 1 -1 | 20.94 | 29.9 |
| 0 2 1 | 21.20 | 39.2 |
| 1 1 1 | 27.68 | 50.3 |
| 1 0 -2 | 29.04 | 27.9 |
| 1 3 0 | 29.84 | 100.0 |
| 1 1 -2 | 30.10 | 34.7 |
| 1 3 -1 | 30.61 | 25.6 |
| 0 2 2 | 32.94 | 27.0 |

4.
Calculated PXRD pattern of VCdPHO6 for CuKα, from DFT lattice parameters and positions (GGA+U).

Structural model:
a = 5.4753 Å, b = 6.9156 Å, c = 7.3761 Å
α = 90.00°, β = 103.50°, γ = 90.00°
Space group P2_1 (No. 4)
Unique sites:
V  0.0654  0.0000  0.0428 (multiplicity 2)
Cd  0.4921  0.5364  0.5162 (multiplicity 2)
P  0.0556  0.7914  0.6616 (multiplicity 2)
H  0.3978  0.5900  0.1793 (multiplicity 2)
O  0.0885  0.2797  0.9792 (multiplicity 2)
O  0.0963  0.9765  0.7842 (multiplicity 2)
O  0.1118  0.6048  0.7835 (multiplicity 2)
O  0.2188  0.2848  0.4565 (multiplicity 2)
O  0.2470  0.7945  0.5367 (multiplicity 2)
O  0.3485  0.9563  0.1753 (multiplicity 2)

Top 10 peaks for 5 to 70 degrees two-theta, in order of rising 2θ:
| h k l | 2theta | Rel. int. |
| --- | --- | --- |
| 0 0 1 | 12.34 | 77.3 |
| 0 1 1 | 17.82 | 28.5 |
| 1 0 -1 | 18.29 | 100.0 |
| 1 0 1 | 23.01 | 80.0 |
| 0 0 2 | 24.83 | 50.4 |
| 0 2 0 | 25.76 | 29.3 |
| 1 2 0 | 30.83 | 31.8 |
| 1 2 -1 | 31.78 | 71.1 |
| 1 2 1 | 34.81 | 45.2 |
| 1 0 -3 | 37.47 | 31.1 |

5.
Calculated PXRD pattern of MgMn2O4 for CuKα, from DFT lattice parameters and positions (GGA+U).

Structural model:
a = 3.0442 Å, b = 5.3423 Å, c = 5.6848 Å
α = 98.02°, β = 100.56°, γ = 91.69°
Space group P1 (No. 1)
Unique sites:
Mg  0.0000  0.0000  0.0000 (multiplicity 1)
Mn  0.3103  0.0865  0.4671 (multiplicity 1)
Mn  0.7408  0.5775  0.3994 (multiplicity 1)
O  0.1842  0.7432  0.2455 (multiplicity 1)
O  0.2996  0.4454  0.5733 (multiplicity 1)
O  0.5791  0.1735  0.1922 (multiplicity 1)
O  0.9046  0.9656  0.6545 (multiplicity 1)

Top 10 peaks for 5 to 70 degrees two-theta, in order of rising 2θ:
| h k l | 2theta | Rel. int. |
| --- | --- | --- |
| 0 0 1 | 16.03 | 100.0 |
| 1 -1 0 | 33.62 | 17.1 |
| 0 2 0 | 33.95 | 19.9 |
| 1 1 -1 | 35.31 | 17.9 |
| 1 -1 1 | 38.88 | 19.3 |
| 0 2 1 | 39.95 | 16.4 |
| 1 1 -2 | 42.41 | 17.6 |
| 0 2 2 | 51.25 | 8.6 |
| 1 1 -3 | 54.31 | 8.6 |
| 1 3 -1 | 61.14 | 13.5 |

6.
Calculated PXRD pattern of CaV4CoCu2O12 for CuKα, from DFT lattice parameters and positions (GGA+U).

Structural model:
a = 7.3685 Å, b = 7.4329 Å, c = 7.4488 Å
α = 90.00°, β = 90.00°, γ = 90.00°
Space group Immm (No. 71)
Unique sites:
Ca  0.0000  0.0000  0.0000 (multiplicity 2)
V  0.2500  0.2500  0.2500 (multiplicity 8)
Co  0.0000  0.5000  0.0000 (multiplicity 2)
Cu  0.0000  0.0000  0.5000 (multiplicity 2)
Cu  0.0000  0.5000  0.5000 (multiplicity 2)
O  0.0000  0.2961  0.1802 (multiplicity 8)
O  0.1811  0.0000  0.3048 (multiplicity 8)
O  0.1978  0.3201  0.5000 (multiplicity 8)

Top 10 peaks for 5 to 70 degrees two-theta, in order of rising 2θ:
| h k l | 2theta | Rel. int. |
| --- | --- | --- |
| 1 2 1 | 29.46 | 4.6 |
| 0 2 2 | 34.08 | 52.2 |
| 2 0 2 | 34.25 | 100.0 |
| 1 0 3 | 38.25 | 5.8 |
| 2 2 2 | 42.21 | 7.6 |
| 0 0 4 | 48.91 | 15.0 |
| 0 4 0 | 49.02 | 15.6 |
| 4 0 0 | 49.48 | 14.8 |
| 2 2 4 | 61.11 | 50.0 |
| 4 2 2 | 61.45 | 24.7 |

7.
Calculated PXRD pattern of MgCrH10O9 for CuKα, from DFT lattice parameters and positions (GGA+U).

Structural model:
a = 6.2481 Å, b = 6.4571 Å, c = 11.0214 Å
α = 75.24°, β = 81.04°, γ = 70.21°
Space group P-1 (No. 2)
Unique sites:
Mg  0.0000  0.0000  0.0000 (multiplicity 1)
Mg  0.0000  0.5000  0.5000 (multiplicity 1)
Cr  0.3520  0.0216  0.7103 (multiplicity 2)
H  0.0970  0.6771  0.2060 (multiplicity 2)
H  0.1019  0.8020  0.5936 (multiplicity 2)
H  0.1680  0.1399  0.3798 (multiplicity 2)
H  0.2325  0.2794  0.0072 (multiplicity 2)
H  0.2507  0.1026  0.1405 (multiplicity 2)
H  0.2940  0.4302  0.8017 (multiplicity 2)
H  0.3036  0.6071  0.8739 (multiplicity 2)
H  0.3358  0.6587  0.1276 (multiplicity 2)
H  0.3391  0.6804  0.3724 (multiplicity 2)
H  0.4369  0.4080  0.3945 (multiplicity 2)
O  0.0314  0.2391  0.4184 (multiplicity 2)
O  0.1589  0.1763  0.0673 (multiplicity 2)
O  0.1688  0.7049  0.1205 (multiplicity 2)
O  0.1735  0.2789  0.6598 (multiplicity 2)
O  0.2666  0.9223  0.8584 (multiplicity 2)
O  0.3004  0.5389  0.4040 (multiplicity 2)
O  0.3530  0.8473  0.6228 (multiplicity 2)
O  0.3567  0.4438  0.8742 (multiplicity 2)
O  0.3844  0.9616  0.2947 (multiplicity 2)

Top 10 peaks for 5 to 70 degrees two-theta, in order of rising 2θ:
| h k l | 2theta | Rel. int. |
| --- | --- | --- |
| 0 1 0 | 14.94 | 73.4 |
| 1 0 1 | 16.70 | 57.8 |
| 1 1 1 | 17.52 | 100.0 |
| 0 1 2 | 19.86 | 29.1 |
| 1 0 -2 | 23.44 | 62.6 |
| 0 1 -2 | 24.81 | 32.0 |
| 1 -1 1 | 26.57 | 43.9 |
| -1 1 2 | 28.48 | 53.0 |
| 1 2 2 | 29.59 | 36.0 |
| 0 1 -3 | 32.16 | 64.5 |

8.
Calculated PXRD pattern of AlV2O4 for CuKα, from DFT lattice parameters and positions (GGA+U).

Structural model:
a = 5.9063 Å, b = 6.0508 Å, c = 8.3291 Å
α = 90.00°, β = 90.00°, γ = 90.00°
Space group Imma (No. 74)
Unique sites:
Al  0.2500  0.2500  0.2500 (multiplicity 4)
V  0.0000  0.0000  0.0000 (multiplicity 4)
V  0.2500  0.2500  0.7500 (multiplicity 4)
O  0.0000  0.0280  0.2465 (multiplicity 8)
O  0.2246  0.2500  0.0172 (multiplicity 8)

Top 10 peaks for 5 to 70 degrees two-theta, in order of rising 2θ:
| h k l | 2theta | Rel. int. |
| --- | --- | --- |
| 1 0 1 | 18.42 | 90.6 |
| 1 2 1 | 35.02 | 21.6 |
| 1 0 3 | 35.74 | 13.7 |
| 0 2 2 | 36.72 | 18.6 |
| 2 0 2 | 37.33 | 17.6 |
| 2 2 0 | 42.79 | 100.0 |
| 0 0 4 | 43.46 | 47.8 |
| 0 4 0 | 61.28 | 14.0 |
| 2 2 4 | 62.63 | 52.4 |
| 4 0 0 | 62.95 | 12.9 |

9.
Calculated PXRD pattern of Li3NiPCO7 for CuKα, from DFT lattice parameters and positions (GGA+U).

Structural model:
a = 6.3953 Å, b = 8.3713 Å, c = 9.9143 Å
α = 94.80°, β = 90.07°, γ = 90.11°
Space group P1 (No. 1)
Unique sites:
Li  0.0000  0.0000  0.0000 (multiplicity 1)
Li  0.9997  0.0060  0.4959 (multiplicity 1)
Li  0.2352  0.1775  0.7529 (multiplicity 1)
Li  0.2395  0.1778  0.2695 (multiplicity 1)
Li  0.2695  0.6225  0.5059 (multiplicity 1)
Li  0.2713  0.6246  0.0061 (multiplicity 1)
Li  0.4951  0.8035  0.2633 (multiplicity 1)
Li  0.4970  0.8114  0.7635 (multiplicity 1)
Li  0.4984  0.2397  0.4880 (multiplicity 1)
Li  0.7291  0.6250  0.0058 (multiplicity 1)
Li  0.7583  0.1770  0.2696 (multiplicity 1)
Li  0.7637  0.1782  0.7531 (multiplicity 1)
Ni  0.0001  0.5656  0.7807 (multiplicity 1)
Ni  0.0011  0.5663  0.2754 (multiplicity 1)
Ni  0.5002  0.2337  0.9862 (multiplicity 1)
Ni  0.7335  0.6241  0.5080 (multiplicity 1)
P  0.9999  0.3151  0.0222 (multiplicity 1)
P  0.4974  0.4824  0.2428 (multiplicity 1)
P  0.5025  0.4896  0.7433 (multiplicity 1)
P  0.9956  0.3113  0.5228 (multiplicity 1)
C  0.4996  0.9409  0.0319 (multiplicity 1)
C  0.5027  0.9368  0.5299 (multiplicity 1)
C  0.9946  0.8605  0.7332 (multiplicity 1)
C  0.9972  0.8605  0.2350 (multiplicity 1)
O  0.9996  0.0075  0.2053 (multiplicity 1)
O  0.0010  0.4828  0.9684 (multiplicity 1)
O  0.0007  0.8236  0.8567 (multiplicity 1)
O  0.1878  0.2099  0.9704 (multiplicity 1)
O  0.1899  0.2179  0.4720 (multiplicity 1)
O  0.3119  0.5911  0.2942 (multiplicity 1)
O  0.3123  0.5931  0.7938 (multiplicity 1)
O  0.4933  0.0436  0.6296 (multiplicity 1)
O  0.4986  0.3177  0.2959 (multiplicity 1)
O  0.4993  0.7930  0.0617 (multiplicity 1)
O  0.4997  0.0571  0.1272 (multiplicity 1)
O  0.4995  0.3206  0.7940 (multiplicity 1)
O  0.4996  0.9784  0.9079 (multiplicity 1)
O  0.5012  0.9676  0.4062 (multiplicity 1)
O  0.5048  0.4672  0.0850 (multiplicity 1)
O  0.5105  0.7835  0.5609 (multiplicity 1)
O  0.5122  0.4730  0.5853 (multiplicity 1)
O  0.6864  0.5899  0.2996 (multiplicity 1)
O  0.6887  0.5942  0.7996 (multiplicity 1)
O  0.8072  0.2077  0.4745 (multiplicity 1)
O  0.8121  0.2095  0.9697 (multiplicity 1)
O  0.9882  0.7404  0.6377 (multiplicity 1)
O  0.9890  0.4832  0.4681 (multiplicity 1)
O  0.9958  0.8224  0.3597 (multiplicity 1)
O  0.9971  0.3397  0.6808 (multiplicity 1)
O  0.9973  0.7435  0.1395 (multiplicity 1)
O  0.9977  0.0058  0.7005 (multiplicity 1)
O  0.9994  0.3394  0.1799 (multiplicity 1)

Top 10 peaks for 5 to 70 degrees two-theta, in order of rising 2θ:
| h k l | 2theta | Rel. int. |
| --- | --- | --- |
| 0 1 0 | 10.61 | 100.0 |
| 1 1 0 | 17.48 | 19.8 |
| 0 1 -2 | 20.10 | 24.5 |
| 0 1 2 | 21.66 | 23.6 |
| 1 1 2 | 25.81 | 26.9 |
| 0 2 -2 | 26.80 | 23.0 |
| 2 0 0 | 27.90 | 65.2 |
| 2 -2 0 | 35.37 | 17.8 |
| 0 0 4 | 36.37 | 19.8 |
| 0 1 -4 | 37.09 | 24.5 |

Please write out number 3 again, unchanged.
Calculated PXRD pattern of Co2BiBP2O10 for CuKα, from DFT lattice parameters and positions (GGA+U).

Structural model:
a = 5.1207 Å, b = 11.3902 Å, c = 6.5053 Å
α = 90.00°, β = 107.90°, γ = 90.00°
Space group P2_1/m (No. 11)
Unique sites:
Co  0.1469  0.1046  0.1616 (multiplicity 4)
Bi  0.2478  0.7500  0.5630 (multiplicity 2)
B  0.4357  0.7500  0.0146 (multiplicity 2)
P  0.2964  0.0640  0.7145 (multiplicity 4)
O  0.0932  0.0463  0.8467 (multiplicity 4)
O  0.1438  0.1244  0.4960 (multiplicity 4)
O  0.1459  0.7500  0.8636 (multiplicity 2)
O  0.3782  0.2500  0.1174 (multiplicity 2)
O  0.4319  0.5516  0.6794 (multiplicity 4)
O  0.4623  0.6447  0.1551 (multiplicity 4)

Top 10 peaks for 5 to 70 degrees two-theta, in order of rising 2θ:
| h k l | 2theta | Rel. int. |
| --- | --- | --- |
| 0 0 1 | 14.31 | 22.2 |
| 0 1 1 | 16.30 | 42.9 |
| 1 1 -1 | 20.94 | 29.9 |
| 0 2 1 | 21.20 | 39.2 |
| 1 1 1 | 27.68 | 50.3 |
| 1 0 -2 | 29.04 | 27.9 |
| 1 3 0 | 29.84 | 100.0 |
| 1 1 -2 | 30.10 | 34.7 |
| 1 3 -1 | 30.61 | 25.6 |
| 0 2 2 | 32.94 | 27.0 |